1.
This entry pairs a crystal structure of Sr2Sn7Au12 with its simulated powder diffractogram. Radiation: Cu Kα (weighted mean of Kα1 and Kα2). Structure: the GGA-PBE geometry in Alexandria.

Largest 6 diffraction maxima, low angle first, 10° ≤ 2θ ≤ 90°:
Position (°2θ), I_rel
16.63, 31
30.94, 100
33.61, 23
39.27, 30
42.92, 26
43.65, 19

Atomic structure:
Cell lengths 5.1561, 10.6603, 10.6638 Å; angles 60.05, 89.98, 89.97 degrees
Sites, in units of the cell vectors:
Sr  0.1889  0.1663  0.1668
Sr  0.8111  0.8337  0.8332
Sn  0.0000  0.5000  0.5000
Sn  0.3449  0.7793  0.6066
Sn  0.3455  0.1142  0.7789
Sn  0.3468  0.6071  0.1135
Sn  0.6532  0.3929  0.8865
Sn  0.6545  0.8858  0.2211
Sn  0.6551  0.2207  0.3934
Au  0.1667  0.3519  0.7928
Au  0.1679  0.7923  0.3552
Au  0.1688  0.3558  0.3514
Au  0.2061  0.0476  0.5603
Au  0.2056  0.5610  0.8919
Au  0.2069  0.8925  0.0468
Au  0.7931  0.1075  0.9532
Au  0.7944  0.4390  0.1081
Au  0.7939  0.9524  0.4397
Au  0.8312  0.6442  0.6486
Au  0.8321  0.2077  0.6448
Au  0.8333  0.6481  0.2072


2.
This entry pairs a crystal structure of SrSn3Au with its simulated powder diffractogram. Radiation: Cu Kα (weighted mean of Kα1 and Kα2). Structure: the GGA-PBE geometry in Alexandria.

Largest 6 diffraction maxima, low angle first, 10° ≤ 2θ ≤ 90°:
Position (°2θ), I_rel
18.72, 24
28.62, 100
36.72, 28
38.00, 68
41.53, 55
54.84, 24

Atomic structure:
Cell lengths 13.0832, 13.0832, 4.7389 Å; angles 90.00, 90.00, 159.16 degrees
Sites, in units of the cell vectors:
Sr  0.1676  0.8324  0.0000
Sr  0.8324  0.1676  0.0000
Sn  0.0564  0.9436  0.5000
Sn  0.2801  0.7199  0.5000
Sn  0.4436  0.5564  0.0000
Sn  0.5564  0.4436  0.0000
Sn  0.7199  0.2801  0.5000
Sn  0.9436  0.0564  0.5000
Au  0.3840  0.6160  0.5000
Au  0.6160  0.3840  0.5000


3.
This entry pairs a crystal structure of Sr4Sn9Au7 with its simulated powder diffractogram. Radiation: Cu Kα (weighted mean of Kα1 and Kα2). Structure: the GGA-PBE geometry in Alexandria.

Largest 6 diffraction maxima, low angle first, 10° ≤ 2θ ≤ 90°:
Position (°2θ), I_rel
20.05, 35
29.78, 44
30.58, 100
37.51, 83
41.09, 69
70.11, 30

Atomic structure:
Cell lengths 4.7954, 4.7954, 23.0699 Å; angles 90.00, 90.00, 90.00 degrees
Sites, in units of the cell vectors:
Sr  0.0000  0.5000  0.1157
Sr  0.0000  0.5000  0.6308
Sr  0.5000  0.0000  0.3692
Sr  0.5000  0.0000  0.8843
Sn  0.0000  0.0000  0.2442
Sn  0.0000  0.0000  0.7558
Sn  0.0000  0.5000  0.4282
Sn  0.0000  0.5000  0.9389
Sn  0.5000  0.0000  0.0611
Sn  0.5000  0.0000  0.5718
Sn  0.5000  0.5000  0.2435
Sn  0.5000  0.5000  0.5000
Sn  0.5000  0.5000  0.7565
Au  0.0000  0.0000  0.0000
Au  0.0000  0.0000  0.5000
Au  0.0000  0.5000  0.3121
Au  0.0000  0.5000  0.8218
Au  0.5000  0.0000  0.1782
Au  0.5000  0.0000  0.6879
Au  0.5000  0.5000  0.0000


4.
This entry pairs a crystal structure of Sr2SnAu10 with its simulated powder diffractogram. Radiation: Cu Kα (weighted mean of Kα1 and Kα2). Structure: the GGA-PBE geometry in Alexandria.

Largest 6 diffraction maxima, low angle first, 10° ≤ 2θ ≤ 90°:
Position (°2θ), I_rel
35.44, 77
36.19, 63
37.89, 61
38.18, 100
38.48, 39
41.04, 54

Atomic structure:
Cell lengths 6.4291, 5.8849, 15.2013 Å; angles 90.00, 91.23, 90.00 degrees
Sites, in units of the cell vectors:
Sr  0.0981  0.1845  0.3423
Sr  0.0981  0.3155  0.8423
Sr  0.9019  0.6845  0.1577
Sr  0.9019  0.8155  0.6577
Sn  0.5000  0.0000  0.0000
Sn  0.5000  0.5000  0.5000
Au  0.0847  0.1772  0.0582
Au  0.0847  0.3228  0.5582
Au  0.2648  0.6844  0.3350
Au  0.2648  0.8156  0.8350
Au  0.2880  0.5886  0.0058
Au  0.2880  0.9114  0.5058
Au  0.3458  0.0754  0.6800
Au  0.3458  0.4246  0.1800
Au  0.3559  0.5816  0.6757
Au  0.3559  0.9184  0.1757
Au  0.6441  0.0816  0.8243
Au  0.6441  0.4184  0.3243
Au  0.6542  0.5754  0.8200
Au  0.6542  0.9246  0.3200
Au  0.7120  0.0886  0.4942
Au  0.7120  0.4114  0.9942
Au  0.7352  0.1844  0.1650
Au  0.7352  0.3156  0.6650
Au  0.9153  0.6772  0.4418
Au  0.9153  0.8228  0.9418